[1]
Cd8Ag2Au3: simulated X-ray powder pattern (Cu Kα, 1.54184 Å), based on a cell relaxed with PBE.
Peak positions follow from Bragg's law for the DFT cell and can differ from measured ones.

Main lines, low angle first (5° ≤ 2θ ≤ 70°):
h k l  Position (°2θ)  I (rel.)
0 2 0  13.5  105
2 2 0  23.2  220
2 2 1  30.1  106
4 0 0  38.1  255
0 0 2  38.3  256
2 4 1  38.5  1000
4 0 2  55.1  171
6 4 1  69.1  167
2 4 3  69.3  170
0 8 2  69.8  164

Crystal structure
Unit cell a=9.4435 b=13.1470 c=4.7045 alpha=90.00 beta=90.00 gamma=90.00
Space group Cmmm (No. 65)
Asymmetric unit:
Cd1 0.0000 0.1270 0.0000
Cd2 0.0000 0.3695 0.0000
Cd3 0.2417 0.1280 0.5000
Ag1 0.0000 0.2519 0.5000
Au1 0.0000 0.5000 0.5000
Au2 0.2459 0.0000 0.0000

[2]
CdMo2H: simulated X-ray powder pattern (Cu Kα, 1.54184 Å), based on a cell relaxed with PBE.
Peak positions follow from Bragg's law for the DFT cell and can differ from measured ones.

Main lines, low angle first (5° ≤ 2θ ≤ 70°):
h k l  Position (°2θ)  I (rel.)
1 1 1  19.4  21
2 2 0  32.0  336
3 1 1  37.7  1000
2 2 2  39.5  353
4 0 0  45.9  28
4 2 2  57.0  120
5 1 1  60.8  313
4 4 0  66.9  267

Crystal structure
Unit cell a=7.9106 b=7.9106 c=7.9106 alpha=90.00 beta=90.00 gamma=90.00
Space group Fd-3m (No. 227, origin choice 2)
Asymmetric unit:
Cd1 0.1250 0.1250 0.1250
Mo1 0.0000 0.0000 0.5000
H1 0.1250 0.1250 0.6250

[3]
NdY4Cd5: simulated X-ray powder pattern (Cu Kα, 1.54184 Å), based on a cell relaxed with PBE.
Peak positions follow from Bragg's law for the DFT cell and can differ from measured ones.

Main lines, low angle first (5° ≤ 2θ ≤ 70°):
h k l  Position (°2θ)  I (rel.)
1 0 1  24.1  7
1 0 2  25.5  8
1 0 3  27.6  9
1 0 4  30.3  14
1 0 5  33.5  1000
1 1 0  33.7  502
0 0 10  48.0  89
2 0 0  48.4  177
1 1 10  59.9  173
2 1 5  60.2  353

Crystal structure
Unit cell a=3.7624 b=3.7624 c=18.9705 alpha=90.00 beta=90.00 gamma=90.00
Space group P4/mmm (No. 123)
Asymmetric unit:
Nd1 0.0000 0.0000 0.0000
Y1 0.0000 0.0000 0.2040
Y2 0.0000 0.0000 0.4015
Cd1 0.5000 0.5000 0.1076
Cd2 0.5000 0.5000 0.3026
Cd3 0.5000 0.5000 0.5000

[4]
CsDyAgI5: simulated X-ray powder pattern (Cu Kα, 1.54184 Å), based on a cell relaxed with PBE.
Peak positions follow from Bragg's law for the DFT cell and can differ from measured ones.

Main lines, low angle first (5° ≤ 2θ ≤ 70°):
h k l  Position (°2θ)  I (rel.)
1 1 0  11.2  415
1 1 -2  16.9  877
2 0 0  18.6  470
1 1 -3  23.9  397
1 3 1  24.2  1000
3 1 -1  26.9  377
2 4 -2  32.7  372
3 3 0  34.2  428
1 5 -2  36.1  463
4 0 -4  40.2  500

Crystal structure
Unit cell a=10.2883 b=13.8357 c=11.5849 alpha=90.00 beta=111.60 gamma=90.00
Space group C2/c (No. 15)
Asymmetric unit:
Cs1 0.0000 0.1496 0.2500
Dy1 0.0000 0.5000 0.0000
Ag1 0.0000 0.1902 0.7500
I1 0.0000 0.4311 0.2500
I2 0.1055 0.2988 0.5944
I3 0.2010 0.0697 0.9379